# 1
TbTh2S5: computed X-ray diffraction stick pattern (Cu Kα (weighted mean of Kα1 and Kα2)), based on DFT lattice parameters and positions (GGA-PBE).

Atomic structure:
Cell: 7.745 12.069 3.957 Å, 90.00 90.00 90.00°
Fractional positions:
Tb: 0.000 0.000 0.000
Tb: 0.500 0.500 0.000
Th: 0.019 0.323 0.500
Th: 0.481 0.823 0.500
Th: 0.519 0.177 0.500
Th: 0.981 0.677 0.500
S: 0.000 0.500 0.000
S: 0.167 0.106 0.500
S: 0.185 0.803 0.000
S: 0.315 0.303 0.000
S: 0.333 0.606 0.500
S: 0.500 0.000 0.000
S: 0.667 0.394 0.500
S: 0.685 0.697 0.000
S: 0.815 0.197 0.000
S: 0.833 0.894 0.500

The 10 most intense peaks (2θ from 15° to 90°), low angle first:
- 2θ 22.97, intensity 66.6
- 2θ 24.94, intensity 100.0
- 2θ 26.35, intensity 58.9
- 2θ 26.94, intensity 47.3
- 2θ 33.81, intensity 35.0
- 2θ 35.69, intensity 73.5
- 2θ 41.56, intensity 37.0
- 2θ 45.55, intensity 40.1
- 2θ 52.91, intensity 27.7
- 2θ 71.16, intensity 30.1


# 2
Ac2Sn2Pt5: computed X-ray diffraction stick pattern (Cu Kα (weighted mean of Kα1 and Kα2)), based on DFT lattice parameters and positions (GGA-PBE).

Atomic structure:
Cell: 6.800 6.800 9.064 Å, 115.02 115.02 37.09°
Fractional positions:
Ac: 0.141 0.141 0.279
Ac: 0.859 0.859 0.721
Sn: 0.391 0.391 0.207
Sn: 0.609 0.609 0.793
Pt: 0.249 0.249 0.880
Pt: 0.400 0.400 0.519
Pt: 0.500 0.500 0.000
Pt: 0.600 0.600 0.481
Pt: 0.751 0.751 0.120

The 10 most intense peaks (2θ from 15° to 90°), low angle first:
- 2θ 21.95, intensity 34.9
- 2θ 28.60, intensity 100.0
- 2θ 31.59, intensity 40.2
- 2θ 36.48, intensity 40.7
- 2θ 37.30, intensity 29.6
- 2θ 37.46, intensity 27.5
- 2θ 41.25, intensity 61.3
- 2θ 41.77, intensity 53.4
- 2θ 43.03, intensity 48.4
- 2θ 43.92, intensity 34.6